[1]
The following is a computed PXRD pattern of Ba5Sn2N6. It was derived from a crystal structure in the Materials Project, relaxed with PBE, using CuKα.
Peak positions follow from Bragg's law for the DFT cell and can differ from measured ones.

Structure:
Lattice parameters (Å, degrees): 11.223 7.367 14.724 90.00 98.34 90.00
Space group C2/c (No. 15)
Symmetry-distinct sites (fractional):
Ba 0.000 0.115 0.250 (multiplicity 4)
Ba 0.045 0.225 0.988 (multiplicity 8)
Ba 0.157 0.424 0.711 (multiplicity 8)
Sn 0.222 0.381 0.424 (multiplicity 8)
N 0.051 0.478 0.376 (multiplicity 8)
N 0.144 0.064 0.657 (multiplicity 8)
N 0.194 0.085 0.436 (multiplicity 8)

Main lines, in order of falling intensity (5° ≤ 2θ ≤ 70°):
- 2θ = 30.67°, d 2.915, rel. 100
- 2θ = 30.46°, d 2.935, rel. 96
- 2θ = 28.44°, d 3.139, rel. 90
- 2θ = 31.26°, d 2.861, rel. 78
- 2θ = 26.96°, d 3.307, rel. 67
- 2θ = 27.13°, d 3.287, rel. 67
- 2θ = 27.45°, d 3.249, rel. 62
- 2θ = 57.07°, d 1.614, rel. 51


[2]
The following is a computed PXRD pattern of MgAlBi12O20. It was derived from a crystal structure in the Materials Project, relaxed with PBE, using CuKα.
Peak positions follow from Bragg's law for the DFT cell and can differ from measured ones.

Structure:
Lattice parameters (Å, degrees): 8.907 9.023 9.030 109.71 109.21 109.17
Space group P1 (No. 1)
Symmetry-distinct sites (fractional):
Mg 0.000 0.000 0.000 (multiplicity 1)
Al 0.577 0.000 0.000 (multiplicity 1)
Bi 0.076 0.369 0.198 (multiplicity 1)
Bi 0.088 0.686 0.834 (multiplicity 1)
Bi 0.254 0.166 0.852 (multiplicity 1)
Bi 0.276 0.850 0.504 (multiplicity 1)
Bi 0.402 0.148 0.314 (multiplicity 1)
Bi 0.409 0.522 0.714 (multiplicity 1)
Bi 0.427 0.656 0.151 (multiplicity 1)
Bi 0.696 0.287 0.809 (multiplicity 1)
Bi 0.707 0.830 0.632 (multiplicity 1)
Bi 0.773 0.495 0.346 (multiplicity 1)
Bi 0.876 0.802 0.170 (multiplicity 1)
Bi 0.887 0.192 0.478 (multiplicity 1)
O 0.154 0.189 0.270 (multiplicity 1)
O 0.190 0.382 0.745 (multiplicity 1)
O 0.228 0.888 0.271 (multiplicity 1)
O 0.229 0.000 0.000 (multiplicity 1)
O 0.332 0.633 0.390 (multiplicity 1)
O 0.339 0.384 0.112 (multiplicity 1)
O 0.380 0.780 0.822 (multiplicity 1)
O 0.444 0.254 0.636 (multiplicity 1)
O 0.559 0.179 0.959 (multiplicity 1)
O 0.578 0.599 0.996 (multiplicity 1)
O 0.582 0.004 0.603 (multiplicity 1)
O 0.600 0.041 0.220 (multiplicity 1)
O 0.700 0.758 0.367 (multiplicity 1)
O 0.776 0.999 0.001 (multiplicity 1)
O 0.808 0.364 0.618 (multiplicity 1)
O 0.884 0.729 0.919 (multiplicity 1)
O 0.943 0.611 0.243 (multiplicity 1)
O 0.955 0.728 0.616 (multiplicity 1)
O 0.965 0.082 0.811 (multiplicity 1)
O 0.979 0.397 0.401 (multiplicity 1)

Main lines, in order of falling intensity (5° ≤ 2θ ≤ 70°):
- 2θ = 27.06°, d 3.296, rel. 100
- 2θ = 27.23°, d 3.275, rel. 97
- 2θ = 32.08°, d 2.790, rel. 66
- 2θ = 32.26°, d 2.775, rel. 38
- 2θ = 32.50°, d 2.755, rel. 31
- 2θ = 51.03°, d 1.790, rel. 28
- 2θ = 29.69°, d 3.009, rel. 28
- 2θ = 52.87°, d 1.732, rel. 27


[3]
The following is a computed PXRD pattern of Ca2InHg. It was derived from a crystal structure in the Materials Project, relaxed with PBE, using CuKα.
Peak positions follow from Bragg's law for the DFT cell and can differ from measured ones.

Structure:
Lattice parameters (Å, degrees): 7.675 7.675 7.675 90.00 90.00 90.00
Space group Fm-3m (No. 225)
Symmetry-distinct sites (fractional):
Ca 0.250 0.250 0.250 (multiplicity 8)
In 0.000 0.000 0.000 (multiplicity 4)
Hg 0.000 0.000 0.500 (multiplicity 4)

Main lines, in order of falling intensity (5° ≤ 2θ ≤ 70°):
- 2θ = 33.01°, d 2.714, rel. 100
- 2θ = 23.18°, d 3.838, rel. 39
- 2θ = 58.95°, d 1.567, rel. 37
- 2θ = 53.38°, d 1.716, rel. 18
- 2θ = 47.38°, d 1.919, rel. 18
- 2θ = 40.72°, d 2.216, rel. 13
- 2θ = 69.25°, d 1.357, rel. 11
- 2θ = 20.04°, d 4.431, rel. 9


[4]
The following is a computed PXRD pattern of Th3Pt. It was derived from a crystal structure in the Materials Project, relaxed with PBE, using CuKα.
Peak positions follow from Bragg's law for the DFT cell and can differ from measured ones.

Structure:
Lattice parameters (Å, degrees): 7.0059 7.0059 5.1450 90.00 90.00 120.00
Space group P6_3/mmc (No. 194)
Symmetry-distinct sites (fractional):
Th 0.1777 0.3555 0.2500 (multiplicity 6)
Pt 0.3333 0.6667 0.7500 (multiplicity 2)

Main lines, in order of falling intensity (5° ≤ 2θ ≤ 70°):
- 2θ = 34.32°, d 2.613, rel. 100
- 2θ = 29.44°, d 3.034, rel. 25
- 2θ = 34.88°, d 2.573, rel. 22
- 2θ = 64.35°, d 1.448, rel. 21
- 2θ = 52.23°, d 1.751, rel. 20
- 2θ = 62.18°, d 1.493, rel. 19
- 2θ = 63.99°, d 1.455, rel. 16
- 2θ = 46.27°, d 1.962, rel. 15